No. 1
Starting from a DFT-relaxed cell (GGA-PBE, Alexandria), the X-ray diffraction stick pattern of Ba2CaMg12Ga3 was simulated for copper Kα.
Peak positions follow from Bragg's law for the DFT cell and can differ from measured ones.

Most intense lines, 2θ = 5–70°, by angle:
2θ 12.00, intensity 31; 2θ 18.71, intensity 28; 2θ 22.01, intensity 100; 2θ 23.10, intensity 40; 2θ 29.90, intensity 31; 2θ 30.31, intensity 54; 2θ 30.72, intensity 39; 2θ 35.32, intensity 29; 2θ 37.95, intensity 46; 2θ 44.75, intensity 28

Crystal structure
```
Ba2CaMg12Ga3
1.0
4.7419 2.7377 7.3731
-4.7419 2.7377 7.3731
0.0000 -5.4755 7.3731
Ba Ca Mg Ga
2 1 12 3
Direct
0.0840 0.0840 0.0840
0.9160 0.9160 0.9160
0.5000 0.5000 0.5000
0.0238 0.6626 0.6626
0.2382 0.2382 0.6145
0.2382 0.6145 0.2382
0.3374 0.3374 0.9762
0.3374 0.9762 0.3374
0.3855 0.7618 0.7618
0.6145 0.2382 0.2382
0.6626 0.0238 0.6626
0.6626 0.6626 0.0238
0.7618 0.3855 0.7618
0.7618 0.7618 0.3855
0.9762 0.3374 0.3374
0.0000 0.5000 0.5000
0.5000 0.0000 0.5000
0.5000 0.5000 0.0000
```

No. 2
Starting from a DFT-relaxed cell (GGA-PBE, Alexandria), the X-ray diffraction stick pattern of Ba3Ca2Zn4Ga2 was simulated for copper Kα.
Peak positions follow from Bragg's law for the DFT cell and can differ from measured ones.

Most intense lines, 2θ = 5–70°, by angle:
2θ 5.22, intensity 54; 2θ 21.59, intensity 12; 2θ 23.46, intensity 11; 2θ 26.28, intensity 12; 2θ 29.82, intensity 100; 2θ 33.88, intensity 15; 2θ 36.69, intensity 63; 2θ 47.98, intensity 30; 2θ 57.56, intensity 20; 2θ 61.88, intensity 26

Crystal structure
```
Ba3Ca2Zn4Ga2
1.0
4.8991 0.0000 0.0000
-2.4495 4.2427 0.0000
0.0000 0.0000 16.9266
Ba Ca Zn Ga
3 2 4 2
Direct
0.0000 0.0000 0.0000
0.0000 0.0000 0.2463
0.0000 0.0000 0.7537
0.3333 0.6667 0.5669
0.6667 0.3333 0.4331
0.3333 0.6667 0.3615
0.3333 0.6667 0.8744
0.6667 0.3333 0.1256
0.6667 0.3333 0.6385
0.3333 0.6667 0.1342
0.6667 0.3333 0.8658
```

No. 3
Starting from a DFT-relaxed cell (GGA-PBE, Alexandria), the X-ray diffraction stick pattern of BaCaGdSbO6 was simulated for copper Kα.
Peak positions follow from Bragg's law for the DFT cell and can differ from measured ones.

Most intense lines, 2θ = 5–70°, by angle:
2θ 14.94, intensity 11; 2θ 21.19, intensity 11; 2θ 30.00, intensity 100; 2θ 30.14, intensity 49; 2θ 42.73, intensity 15; 2θ 43.05, intensity 13; 2θ 43.25, intensity 13; 2θ 53.18, intensity 22; 2θ 53.38, intensity 22; 2θ 53.51, intensity 21

Crystal structure
```
BaCaGdSbO6
1.0
5.9283 0.0000 0.0000
0.0267 5.9315 0.0000
0.0016 0.0115 8.4643
Ba Ca Gd Sb O
2 2 2 2 12
Direct
0.0125 0.4858 0.2500
0.9875 0.5142 0.7500
0.4853 0.0177 0.7496
0.5147 0.9823 0.2504
0.0000 0.0000 0.5000
0.5000 0.5000 0.0000
0.0000 0.0000 0.0000
0.5000 0.5000 0.5000
0.0772 0.0320 0.7664
0.1942 0.7240 0.0049
0.2236 0.6939 0.5008
0.2803 0.1843 0.0546
0.3164 0.2189 0.4461
0.4643 0.4261 0.7337
0.5357 0.5739 0.2663
0.6836 0.7811 0.5539
0.7197 0.8157 0.9454
0.7764 0.3061 0.4992
0.8058 0.2760 0.9951
0.9228 0.9680 0.2336
```

No. 4
Starting from a DFT-relaxed cell (GGA-PBE, Alexandria), the X-ray diffraction stick pattern of BaCa3Ge was simulated for copper Kα.
Peak positions follow from Bragg's law for the DFT cell and can differ from measured ones.

Most intense lines, 2θ = 5–70°, by angle:
2θ 21.26, intensity 100; 2θ 26.12, intensity 52; 2θ 30.25, intensity 88; 2θ 37.27, intensity 48; 2θ 43.30, intensity 63; 2θ 48.73, intensity 23; 2θ 51.27, intensity 22; 2θ 53.73, intensity 22; 2θ 58.43, intensity 26; 2θ 67.21, intensity 13

Crystal structure
```
BaCa3Ge
1.0
5.9096 0.0000 0.0000
0.0000 5.9096 0.0000
0.0000 0.0000 5.9096
Ba Ca Ge
1 3 1
Direct
0.0000 0.0000 0.0000
0.0000 0.5000 0.5000
0.5000 0.0000 0.5000
0.5000 0.5000 0.0000
0.5000 0.5000 0.5000
```